No. 1
AcZn2Pt8: calculated powder diffraction line list (Cu Kα (weighted mean of Kα1 and Kα2)), based on DFT lattice parameters and positions (GGA-PBE).
Kinematic intensities with the Lorentz-polarization factor, no thermal factor.

The 10 most intense peaks (2θ = 15–90°), by angle:
| (hkl) | two_theta | Rel. int. |
| --- | --- | --- |
| 0 0 2 | 20.40 | 47 |
| 0 0 3 | 30.80 | 15 |
| 2 0 0 | 33.93 | 34 |
| 2 0 2 | 39.91 | 100 |
| 2 0 3 | 46.47 | 14 |
| 2 2 0 | 48.74 | 33 |
| 2 2 2 | 53.36 | 15 |
| 2 0 5 | 64.03 | 16 |
| 2 2 4 | 65.87 | 14 |
| 4 2 2 | 85.06 | 23 |

Crystal structure
```
data_AcZn2Pt8
_space_group_name_H-M_alt 'P 4/m m m'
_space_group_IT_number 123
_space_group_name_Hall '-P 4 2'
_cell_length_a 5.285
_cell_length_b 5.285
_cell_length_c 8.709
_cell_angle_alpha 90.00
_cell_angle_beta 90.00
_cell_angle_gamma 90.00
loop_
_atom_site_label
_atom_site_fract_x
_atom_site_fract_y
_atom_site_fract_z
Ac1 0.000 0.000 0.000
Zn1 0.000 0.500 0.500
Pt1 0.253 0.253 0.283
```

***

No. 2
Ac3ZnPt8: calculated powder diffraction line list (Cu Kα (weighted mean of Kα1 and Kα2)), based on DFT lattice parameters and positions (GGA-PBE).
Kinematic intensities with the Lorentz-polarization factor, no thermal factor.

The 10 most intense peaks (2θ = 15–90°), by angle:
| (hkl) | two_theta | Rel. int. |
| --- | --- | --- |
| 1 1 0 | 31.94 | 18 |
| 0 1 8 | 32.06 | 13 |
| 2 0 2 | 37.68 | 100 |
| 1 0 10 | 37.80 | 30 |
| 0 2 4 | 39.41 | 44 |
| 0 0 12 | 39.61 | 14 |
| 3 0 6 | 60.74 | 22 |
| 2 1 10 | 60.83 | 15 |
| 2 2 0 | 66.76 | 21 |
| 0 2 16 | 67.04 | 15 |

Crystal structure
```
data_Ac3ZnPt8
_space_group_name_H-M_alt 'R 3 m'
_space_group_IT_number 160
_space_group_name_Hall 'R 3 -2"'
_cell_length_a 5.6044
_cell_length_b 5.6044
_cell_length_c 27.3060
_cell_angle_alpha 90.00
_cell_angle_beta 90.00
_cell_angle_gamma 120.00
loop_
_atom_site_label
_atom_site_fract_x
_atom_site_fract_y
_atom_site_fract_z
Ac1 0.0000 0.0000 0.0000
Ac2 0.0000 0.0000 0.1305
Ac3 0.0000 0.0000 0.5205
Zn1 0.0000 0.0000 0.6544
Pt1 0.0000 0.0000 0.3187
Pt2 0.0000 0.0000 0.8196
Pt3 0.0014 0.5007 0.0695
Pt4 0.1685 0.3369 0.9029
```